For Ag2TeO4, the GGA-PBE geometry in the Materials Project gives the theoretical X-ray powder pattern in this record (λ = 1.5418 Å (Cu Kα)).
No peak broadening, texture or thermal motion is included.

The 10 most intense peaks (2θ from 5° to 70°), by angle:
two_theta, intensity
27.33, 62
29.32, 92
29.44, 32
30.36, 100
35.22, 26
35.43, 24
45.08, 22
45.37, 22
50.23, 30
53.32, 19

Atomic structure:
```
Ag2TeO4
1.0
6.259 0.000 0.000
-2.805 5.621 0.000
-1.765 -2.785 6.527
Ag Te O
4 2 8
direct
0.000 0.000 0.000 Ag
0.050 0.942 0.498 Ag
0.304 0.692 0.999 Ag
0.742 0.245 0.498 Ag
0.399 0.595 0.500 Te
0.648 0.347 0.998 Te
0.209 0.621 0.657 O
0.265 0.248 0.345 O
0.301 0.218 0.840 O
0.372 0.781 0.340 O
0.666 0.156 0.156 O
0.747 0.727 0.657 O
0.783 0.695 0.155 O
0.839 0.322 0.843 O
```